LaMg6Zr: simulated XRD peak list (Cu Kα), based on a cell relaxed with PBE.

Atomic structure:
Unit cell a=5.172 b=6.643 c=11.576 alpha=90.00 beta=90.00 gamma=90.00
Atoms (fractional coordinates):
La1 0.000 0.000 0.000
La2 0.000 0.500 0.500
Mg1 0.000 0.000 0.486
Mg2 0.000 0.239 0.241
Mg3 0.000 0.261 0.741
Mg4 0.000 0.500 0.986
Mg5 0.000 0.739 0.741
Mg6 0.000 0.761 0.241
Mg7 0.500 0.000 0.654
Mg8 0.500 0.240 0.398
Mg9 0.500 0.260 0.898
Mg10 0.500 0.500 0.154
Mg11 0.500 0.740 0.898
Mg12 0.500 0.760 0.398
Zr1 0.500 0.000 0.146
Zr2 0.500 0.500 0.646

Largest 6 diffraction maxima, sorted by position, 15° ≤ 2θ ≤ 90°:
2θ (°)  I_rel
15.36  100
23.08  43
31.92  31
34.69  31
35.55  51
35.67  76